1.
Diffraction record for YMg6ZnO8. The powder XRD pattern is calculated, not measured: it uses a DFT-relaxed cell (GGA-PBE, the Materials Project) and copper Kα.

Most intense lines, 10 to 80 degrees two-theta, low angle first:
d [Å]  intensity
2.955  31
2.570  52
2.255  50
2.212  100
1.579  57
1.564  36

Cell and atoms:
Cell: 4.4237 4.4237 9.0205 Å, 90.00 90.00 90.00°
Space group P4/mmm (No. 123)
Asymmetric unit:
Y1 0.0000 0.0000 0.0000 [1 per cell]
Mg1 0.0000 0.0000 0.5000 [1 per cell]
Mg2 0.0000 0.5000 0.2674 [4 per cell]
Mg3 0.5000 0.5000 0.5000 [1 per cell]
Zn1 0.5000 0.5000 0.0000 [1 per cell]
O1 0.0000 0.0000 0.2592 [2 per cell]
O2 0.0000 0.5000 0.0000 [2 per cell]
O3 0.0000 0.5000 0.5000 [2 per cell]
O4 0.5000 0.5000 0.2718 [2 per cell]

=====

2.
Diffraction record for YMg14ZnO16. The powder XRD pattern is calculated, not measured: it uses a DFT-relaxed cell (GGA-PBE, the Materials Project) and copper Kα.

Most intense lines, 10 to 80 degrees two-theta, low angle first:
d [Å]  intensity
6.164  14
4.356  14
2.515  22
2.178  100
1.540  57
1.257  17

Cell and atoms:
Cell: 8.7170 8.7170 4.3507 Å, 90.00 90.00 90.00°
Space group P4/mmm (No. 123)
Asymmetric unit:
Y1 0.0000 0.0000 0.0000 [1 per cell]
Mg1 0.0000 0.2641 0.5000 [4 per cell]
Mg2 0.0000 0.5000 0.0000 [2 per cell]
Mg3 0.2529 0.5000 0.5000 [4 per cell]
Mg4 0.2591 0.2591 0.0000 [4 per cell]
Zn1 0.5000 0.5000 0.0000 [1 per cell]
O1 0.0000 0.0000 0.5000 [1 per cell]
O2 0.0000 0.2573 0.0000 [4 per cell]
O3 0.0000 0.5000 0.5000 [2 per cell]
O4 0.2367 0.5000 0.0000 [4 per cell]
O5 0.2474 0.2474 0.5000 [4 per cell]
O6 0.5000 0.5000 0.5000 [1 per cell]

=====

3.
Diffraction record for MgZnO3. The powder XRD pattern is calculated, not measured: it uses a DFT-relaxed cell (GGA-PBE, the Materials Project) and copper Kα.

Most intense lines, 10 to 80 degrees two-theta, low angle first:
d [Å]  intensity
3.820  77
2.701  100
1.910  55
1.708  27
1.560  38
1.351  30

Cell and atoms:
Cell: 3.8203 3.8203 3.8203 Å, 90.00 90.00 90.00°
Space group Pm-3m (No. 221)
Asymmetric unit:
Mg1 0.0000 0.0000 0.0000 [1 per cell]
Zn1 0.5000 0.5000 0.5000 [1 per cell]
O1 0.0000 0.5000 0.5000 [3 per cell]